This entry pairs a crystal structure of La3Cu2Ni3 with its theoretical powder diffractogram. Radiation: Cu Kα (weighted mean of Kα1 and Kα2). Structure: a structure optimized by DFT (PBE).
Kinematic intensities with the Lorentz-polarization factor, no thermal factor.

The 10 most intense peaks (2θ from 10° to 90°), low angle first:
| index | 2theta | I (rel.) |
| --- | --- | --- |
| 1 4 1 | 30.64 | 63 |
| 2 4 0 | 33.59 | 74 |
| 2 3 1 | 33.74 | 53 |
| 1 1 2 | 34.35 | 88 |
| 0 6 0 | 35.19 | 60 |
| 2 4 1 | 37.25 | 79 |
| 1 3 2 | 38.28 | 84 |
| 3 0 1 | 39.64 | 100 |
| 1 4 2 | 41.45 | 56 |
| 1 7 2 | 54.41 | 39 |

Structural model:
Lattice parameters (Å, degrees): 7.4442 15.3021 5.6712 90.00 90.00 90.00
Space group Pnma (No. 62)
Asymmetric unit:
La: 0.0250 0.1011 0.1432 x8
La: 0.1595 0.2500 0.6159 x4
Cu: 0.1331 0.6052 0.3573 x8
Ni: 0.1615 0.0339 0.5787 x8
Ni: 0.1948 0.7500 0.5979 x4